The following is a calculated powder X-ray diffraction pattern of NaPuNO. It was derived from a cell relaxed with PBE, using Cu Kα, 1.54184 Å.
Neutral-atom scattering factors, no anomalous dispersion.

Cell lengths 9.4506, 9.4506, 9.4506 Å; angles 22.89, 22.89, 22.89 degrees
Fractional coordinates of all 8 atoms:
Na  0.1977  0.1977  0.1977
Na  0.8023  0.8023  0.8023
Pu  0.3845  0.3845  0.3845
Pu  0.6155  0.6155  0.6155
N  0.3031  0.3031  0.3031
N  0.6969  0.6969  0.6969
O  0.1063  0.1063  0.1063
O  0.8937  0.8937  0.8937

Top 8 peaks for 2θ from 15° to 90°, low angle first:
Position (°2θ)	d_spacing	I_rel
27.65	3.226	581
29.12	3.066	293
30.42	2.939	1000
31.97	2.799	651
38.05	2.365	349
48.55	1.875	419
57.62	1.600	283
64.09	1.453	310